Computed PXRD pattern
Compound: YPuPbO6
Radiation: a wavelength of 1.5418 Å
Structure: the PBE geometry in Alexandria
Intensities are scaled so that the largest is 100.

Largest 10 diffraction maxima, by intensity, 10° ≤ 2θ ≤ 90°:
hkl 1 0 2, 2θ 24.85, I = 100.0; hkl 1 1 0, 2θ 30.68, I = 50.2; hkl 1 1 4, 2θ 47.46, I = 42.5; hkl 2 1 2, 2θ 51.14, I = 28.7; hkl 2 0 2, 2θ 39.88, I = 28.3; hkl 1 0 1, 2θ 19.64, I = 21.7; hkl 3 0 0, 2θ 54.54, I = 15.5; hkl 4 -1 2, 2θ 69.67, I = 11.9; hkl 3 0 4, 2θ 66.66, I = 11.1; hkl 4 -2 4, 2θ 75.15, I = 10.6

Crystal structure
Unit cell a=5.8281 b=5.8281 c=10.1705 alpha=90.00 beta=90.00 gamma=120.00
Space group P-31c (No. 163)
One atom of each set of equivalent atoms:
Y 0.3333 0.6667 0.2500 [2 per cell]
Pu 0.3333 0.6667 0.7500 [2 per cell]
Pb 0.0000 0.0000 0.0000 [2 per cell]
O 0.0334 0.3832 0.6427 [12 per cell]